Record 1
Computed powder diffraction line list
Compound: La3TaGa5O14
Radiation: CuKα
Structure: a crystal structure in the Materials Project, relaxed with PBE

Most intense lines, 10 to 90 degrees two-theta, in order of falling intensity:
2θ/deg  d [Å]  intensity  index
29.89  2.989  100  0 2 1
27.18  3.280  50  1 1 1
47.86  1.901  21  1 2 2
58.08  1.588  20  3 2 1
36.93  2.434  20  1 2 1
24.52  3.630  18  2 0 0
34.03  2.635  17  0 0 2
32.63  2.744  16  2 1 0
58.36  1.581  16  0 2 3
48.39  1.881  15  3 1 1

```
data_La3TaGa5O14
_chemical_formula_sum 'La3 Ta1 Ga5 O14'
_cell_length_a 8.3833
_cell_length_b 8.3833
_cell_length_c 5.2695
_cell_angle_alpha 90.00
_cell_angle_beta 90.00
_cell_angle_gamma 120.00
_symmetry_space_group_name_H-M 'P 3 2 1'
_symmetry_Int_Tables_number 150
_symmetry_space_group_name_Hall 'P 3 2"'
loop_
_atom_site_label
_atom_site_fract_x
_atom_site_fract_y
_atom_site_fract_z
_atom_site_occupancy
La1 0.0000 0.5726 0.0000 1
Ta1 0.0000 0.0000 0.0000 1
Ga1 0.0000 0.2435 0.5000 1
Ga2 0.3333 0.6667 0.5302 1
O1 0.0779 0.8577 0.2339 1
O2 0.1468 0.4575 0.6969 1
O3 0.3333 0.6667 0.1813 1
```



Record 2
Computed powder diffraction line list
Compound: La6TaGa11O28
Radiation: CuKα
Structure: a crystal structure in the Materials Project, relaxed with PBE

Most intense lines, 10 to 90 degrees two-theta, in order of falling intensity:
2θ/deg  d [Å]  intensity  index
30.03  2.975  100  0 1 3
27.60  3.232  45  1 1 3
27.21  3.278  40  1 -2 0
27.70  3.220  37  2 2 0
34.56  2.595  33  0 2 -2
30.09  2.969  31  0 3 1
30.65  2.917  29  2 3 1
30.52  2.929  25  2 1 3
48.92  1.862  20  2 5 1
57.71  1.597  20  -3 3 1

```
data_La6TaGa11O28
_chemical_formula_sum 'La6 Ta1 Ga11 O28'
_cell_length_a 8.237
_cell_length_b 9.721
_cell_length_c 9.761
_cell_angle_alpha 64.40
_cell_angle_beta 66.32
_cell_angle_gamma 66.41
_symmetry_space_group_name_H-M 'P 1'
_symmetry_Int_Tables_number 1
_symmetry_space_group_name_Hall 'P 1'
loop_
_atom_site_label
_atom_site_fract_x
_atom_site_fract_y
_atom_site_fract_z
_atom_site_occupancy
La1 0.000 0.000 0.000 1
La2 0.003 0.503 0.495 1
La3 0.426 0.077 0.079 1
La4 0.440 0.572 0.563 1
La5 0.845 0.285 0.283 1
La6 0.864 0.788 0.776 1
Ta1 0.422 0.789 0.787 1
Ga1 0.084 0.865 0.390 1
Ga2 0.086 0.357 0.886 1
Ga3 0.176 0.074 0.530 1
Ga4 0.180 0.542 0.038 1
Ga5 0.400 0.648 0.178 1
Ga6 0.414 0.158 0.665 1
Ga7 0.424 0.291 0.286 1
Ga8 0.665 0.416 0.917 1
Ga9 0.667 0.922 0.412 1
Ga10 0.751 0.724 0.186 1
Ga11 0.754 0.224 0.693 1
O1 0.082 0.531 0.709 1
O2 0.084 0.030 0.207 1
O3 0.093 0.380 0.063 1
O4 0.093 0.899 0.559 1
O5 0.206 0.975 0.740 1
O6 0.215 0.499 0.231 1
O7 0.258 0.670 0.380 1
O8 0.266 0.167 0.871 1
O9 0.268 0.261 0.525 1
O10 0.285 0.781 0.011 1
O11 0.327 0.611 0.825 1
O12 0.332 0.113 0.325 1
O13 0.487 0.314 0.054 1
O14 0.505 0.797 0.560 1
O15 0.542 0.792 0.120 1
O16 0.552 0.295 0.614 1
O17 0.560 0.445 0.231 1
O18 0.562 0.946 0.723 1
O19 0.634 0.131 0.379 1
O20 0.640 0.633 0.865 1
O21 0.730 0.915 0.207 1
O22 0.731 0.417 0.709 1
O23 0.760 0.553 0.366 1
O24 0.764 0.048 0.866 1
O25 0.875 0.282 0.986 1
O26 0.875 0.788 0.487 1
O27 0.951 0.230 0.510 1
O28 0.961 0.717 0.012 1
```



Record 3
Computed powder diffraction line list
Compound: La6TaGa11O28
Radiation: CuKα
Structure: a crystal structure in the Materials Project, relaxed with PBE

Most intense lines, 10 to 90 degrees two-theta, in order of falling intensity:
2θ/deg  d [Å]  intensity  index
30.22  2.957  100  0 2 2
27.50  3.243  66  1 1 2
48.52  1.876  27  0 2 4
58.63  1.575  23  6 2 2
32.88  2.724  22  5 1 0
48.85  1.865  19  7 3 -2
34.65  2.589  18  4 0 -4
37.30  2.410  18  2 2 2
59.38  1.556  15  10 0 -6
45.38  1.999  15  5 3 0

```
data_La6TaGa11O28
_chemical_formula_sum 'La12 Ta2 Ga22 O56'
_cell_length_a 17.744
_cell_length_b 8.322
_cell_length_c 10.355
_cell_angle_alpha 90.00
_cell_angle_beta 125.69
_cell_angle_gamma 90.00
_symmetry_space_group_name_H-M 'C 1 2 1'
_symmetry_Int_Tables_number 5
_symmetry_space_group_name_Hall 'C 2y'
loop_
_atom_site_label
_atom_site_fract_x
_atom_site_fract_y
_atom_site_fract_z
_atom_site_occupancy
La1 0.000 0.000 0.000 1
La2 0.000 0.010 0.500 1
La3 0.209 0.641 0.710 1
La4 0.215 0.643 0.215 1
Ta1 0.000 0.430 0.000 1
Ga1 0.000 0.430 0.500 1
Ga2 0.001 0.670 0.256 1
Ga3 0.120 0.309 0.375 1
Ga4 0.121 0.310 0.866 1
Ga5 0.165 0.931 0.931 1
Ga6 0.168 0.929 0.433 1
O1 0.037 0.247 0.658 1
O2 0.040 0.249 0.157 1
O3 0.070 0.580 0.186 1
O4 0.072 0.812 0.921 1
O5 0.073 0.577 0.693 1
O6 0.074 0.815 0.423 1
O7 0.110 0.460 0.994 1
O8 0.110 0.465 0.490 1
O9 0.154 0.130 0.003 1
O10 0.156 0.127 0.505 1
O11 0.166 0.928 0.255 1
O12 0.168 0.931 0.757 1
O13 0.227 0.348 0.378 1
O14 0.230 0.348 0.881 1
```



Record 4
Computed powder diffraction line list
Compound: La3ZrGa5O14
Radiation: CuKα
Structure: a crystal structure in the Materials Project, relaxed with PBE

Most intense lines, 10 to 90 degrees two-theta, in order of falling intensity:
2θ/deg  d [Å]  intensity  index
30.06  2.973  100  0 2 1
27.35  3.261  75  1 1 1
48.21  1.888  30  1 2 2
32.74  2.735  26  2 1 0
48.61  1.873  21  3 1 1
58.33  1.582  20  3 2 1
34.38  2.609  18  0 0 2
45.18  2.007  17  3 1 0
58.92  1.567  15  0 2 3
37.11  2.422  14  1 2 1

```
data_La3ZrGa5O14
_chemical_formula_sum 'La3 Zr1 Ga5 O14'
_cell_length_a 8.3557
_cell_length_b 8.3557
_cell_length_c 5.2173
_cell_angle_alpha 90.00
_cell_angle_beta 90.00
_cell_angle_gamma 120.00
_symmetry_space_group_name_H-M 'P 3 2 1'
_symmetry_Int_Tables_number 150
_symmetry_space_group_name_Hall 'P 3 2"'
loop_
_atom_site_label
_atom_site_fract_x
_atom_site_fract_y
_atom_site_fract_z
_atom_site_occupancy
La1 0.0000 0.5735 0.0000 1
Zr1 0.0000 0.0000 0.0000 1
Ga1 0.0000 0.2457 0.5000 1
Ga2 0.3333 0.6667 0.5302 1
O1 0.0799 0.8503 0.2454 1
O2 0.1465 0.4585 0.6992 1
O3 0.3333 0.6667 0.1810 1
```



Record 5
Computed powder diffraction line list
Compound: LaGaPd2
Radiation: CuKα
Structure: a crystal structure in the Materials Project, relaxed with PBE

Most intense lines, 10 to 90 degrees two-theta, in order of falling intensity:
2θ/deg  d [Å]  intensity  index
34.85  2.575  100  1 1 2
38.33  2.348  78  3 0 1
34.38  2.609  67  2 2 0
37.68  2.387  60  2 2 1
30.47  2.934  50  2 1 1
42.74  2.116  46  1 3 1
31.58  2.833  38  1 2 1
41.39  2.181  36  1 2 2
32.42  2.762  34  1 0 2
61.88  1.499  21  3 3 2

```
data_LaGaPd2
_chemical_formula_sum 'La4 Ga4 Pd8'
_cell_length_a 7.676
_cell_length_b 7.112
_cell_length_c 5.920
_cell_angle_alpha 90.00
_cell_angle_beta 90.00
_cell_angle_gamma 90.00
_symmetry_space_group_name_H-M 'P n m a'
_symmetry_Int_Tables_number 62
_symmetry_space_group_name_Hall '-P 2ac 2n'
loop_
_atom_site_label
_atom_site_fract_x
_atom_site_fract_y
_atom_site_fract_z
_atom_site_occupancy
La1 0.033 0.250 0.152 1
Ga1 0.121 0.750 0.348 1
Pd1 0.177 0.053 0.588 1
```



Record 6
Computed powder diffraction line list
Compound: LaGa6Pd
Radiation: CuKα
Structure: a crystal structure in the Materials Project, relaxed with PBE

Most intense lines, 10 to 90 degrees two-theta, in order of falling intensity:
2θ/deg  d [Å]  intensity  index
40.67  2.219  100  2 0 0
30.16  2.963  84  1 0 2
36.46  2.464  73  1 1 2
30.63  2.919  59  1 1 1
44.72  2.026  53  1 1 3
51.45  1.776  37  2 1 2
58.87  1.569  33  2 2 0
50.23  1.816  29  1 0 4
66.53  1.405  25  2 1 4
85.20  1.139  21  2 0 6

```
data_LaGa6Pd
_chemical_formula_sum 'La1 Ga6 Pd1'
_cell_length_a 4.437
_cell_length_b 4.437
_cell_length_c 7.963
_cell_angle_alpha 90.00
_cell_angle_beta 90.00
_cell_angle_gamma 90.00
_symmetry_space_group_name_H-M 'P 4/m m m'
_symmetry_Int_Tables_number 123
_symmetry_space_group_name_Hall '-P 4 2'
loop_
_atom_site_label
_atom_site_fract_x
_atom_site_fract_y
_atom_site_fract_z
_atom_site_occupancy
La1 0.000 0.000 0.000 1
Ga1 0.000 0.500 0.329 1
Ga2 0.500 0.500 0.153 1
Pd1 0.000 0.000 0.500 1
```



Record 7
Computed powder diffraction line list
Compound: LaGa3Pd2
Radiation: CuKα
Structure: a crystal structure in the Materials Project, relaxed with PBE

Most intense lines, 10 to 90 degrees two-theta, in order of falling intensity:
2θ/deg  d [Å]  intensity  index
38.92  2.314  100  1 1 1
32.69  2.740  35  1 1 0
41.79  2.161  25  0 0 2
62.53  1.485  24  3 0 1
74.36  1.276  21  1 1 3
83.56  1.157  19  2 2 2
37.92  2.373  18  2 0 0
68.49  1.370  16  2 2 0
54.04  1.697  16  1 1 2
43.51  2.080  15  2 0 1

```
data_LaGa3Pd2
_chemical_formula_sum 'La1 Ga3 Pd2'
_cell_length_a 5.4796
_cell_length_b 5.4796
_cell_length_c 4.3228
_cell_angle_alpha 90.00
_cell_angle_beta 90.00
_cell_angle_gamma 120.00
_symmetry_space_group_name_H-M 'P 6/m m m'
_symmetry_Int_Tables_number 191
_symmetry_space_group_name_Hall '-P 6 2'
loop_
_atom_site_label
_atom_site_fract_x
_atom_site_fract_y
_atom_site_fract_z
_atom_site_occupancy
La1 0.0000 0.0000 0.0000 1
Ga1 0.0000 0.5000 0.5000 1
Pd1 0.3333 0.6667 0.0000 1
```



Record 8
Computed powder diffraction line list
Compound: LaPmGa2
Radiation: CuKα
Structure: a crystal structure in the Materials Project, relaxed with PBE

Most intense lines, 10 to 90 degrees two-theta, in order of falling intensity:
2θ/deg  d [Å]  intensity  index
34.03  2.634  100  2 2 0
60.91  1.521  37  4 2 2
48.90  1.863  18  4 0 0
81.75  1.178  16  6 2 0
23.89  3.725  12  2 0 0
71.65  1.317  11  4 4 0
55.13  1.666  5  4 2 0
42.01  2.151  4  2 2 2
76.75  1.242  3  6 0 0
86.68  1.123  2  6 2 2

```
data_LaPmGa2
_chemical_formula_sum 'La4 Pm4 Ga8'
_cell_length_a 7.451
_cell_length_b 7.451
_cell_length_c 7.451
_cell_angle_alpha 90.00
_cell_angle_beta 90.00
_cell_angle_gamma 90.00
_symmetry_space_group_name_H-M 'F m -3 m'
_symmetry_Int_Tables_number 225
_symmetry_space_group_name_Hall '-F 4 2 3'
loop_
_atom_site_label
_atom_site_fract_x
_atom_site_fract_y
_atom_site_fract_z
_atom_site_occupancy
La1 0.000 0.000 0.000 1
Pm1 0.000 0.000 0.500 1
Ga1 0.250 0.250 0.250 1
```



Record 9
Computed powder diffraction line list
Compound: LaGa2Pt3
Radiation: CuKα
Structure: a crystal structure in the Materials Project, relaxed with PBE

Most intense lines, 10 to 90 degrees two-theta, in order of falling intensity:
2θ/deg  d [Å]  intensity  index
36.76  2.445  100  2 0 0
38.77  2.323  96  1 1 1
43.12  2.098  83  2 0 1
28.47  3.135  62  1 0 1
58.91  1.568  52  2 0 2
44.34  2.043  36  0 0 2
83.19  1.161  35  2 2 2
66.20  1.412  33  2 2 0
21.75  4.085  25  0 0 1
61.22  1.514  25  3 0 1

```
data_LaGa2Pt3
_chemical_formula_sum 'La1 Ga2 Pt3'
_cell_length_a 5.6465
_cell_length_b 5.6465
_cell_length_c 4.0855
_cell_angle_alpha 90.00
_cell_angle_beta 90.00
_cell_angle_gamma 120.00
_symmetry_space_group_name_H-M 'P 6/m m m'
_symmetry_Int_Tables_number 191
_symmetry_space_group_name_Hall '-P 6 2'
loop_
_atom_site_label
_atom_site_fract_x
_atom_site_fract_y
_atom_site_fract_z
_atom_site_occupancy
La1 0.0000 0.0000 0.0000 1
Ga1 0.3333 0.6667 0.0000 1
Pt1 0.0000 0.5000 0.5000 1
```



Record 10
Computed powder diffraction line list
Compound: LaGaPt
Radiation: CuKα
Structure: a crystal structure in the Materials Project, relaxed with PBE

Most intense lines, 10 to 90 degrees two-theta, in order of falling intensity:
2θ/deg  d [Å]  intensity  index
33.62  2.665  100  2 1 1
39.09  2.304  51  0 1 3
32.28  2.773  47  1 1 2
39.97  2.256  43  0 2 0
25.77  3.458  34  1 1 1
25.33  3.516  25  1 0 2
43.72  2.071  20  3 0 2
38.93  2.314  20  3 0 1
33.29  2.692  19  2 0 2
60.71  1.525  15  3 2 2

```
data_LaGaPt
_chemical_formula_sum 'La4 Ga4 Pt4'
_cell_length_a 7.247
_cell_length_b 4.511
_cell_length_c 8.040
_cell_angle_alpha 90.00
_cell_angle_beta 90.00
_cell_angle_gamma 90.00
_symmetry_space_group_name_H-M 'P n m a'
_symmetry_Int_Tables_number 62
_symmetry_space_group_name_Hall '-P 2ac 2n'
loop_
_atom_site_label
_atom_site_fract_x
_atom_site_fract_y
_atom_site_fract_z
_atom_site_occupancy
La1 0.030 0.250 0.190 1
Ga1 0.155 0.250 0.569 1
Pt1 0.220 0.750 0.392 1
```



Record 11
Computed powder diffraction line list
Compound: LaGa2Rh3
Radiation: CuKα
Structure: a crystal structure in the Materials Project, relaxed with PBE

Most intense lines, 10 to 90 degrees two-theta, in order of falling intensity:
2θ/deg  d [Å]  intensity  index
39.35  2.290  100  1 1 1
36.42  2.467  59  2 0 0
29.44  3.034  41  1 0 1
43.58  2.077  32  2 0 1
61.30  1.512  27  3 0 1
61.08  1.517  26  2 0 2
65.54  1.424  26  2 2 0
84.66  1.145  25  2 2 2
47.24  1.924  23  0 0 2
31.40  2.849  19  1 1 0

```
data_LaGa2Rh3
_chemical_formula_sum 'La1 Ga2 Rh3'
_cell_length_a 5.6971
_cell_length_b 5.6971
_cell_length_c 3.8484
_cell_angle_alpha 90.00
_cell_angle_beta 90.00
_cell_angle_gamma 120.00
_symmetry_space_group_name_H-M 'P 6/m m m'
_symmetry_Int_Tables_number 191
_symmetry_space_group_name_Hall '-P 6 2'
loop_
_atom_site_label
_atom_site_fract_x
_atom_site_fract_y
_atom_site_fract_z
_atom_site_occupancy
La1 0.0000 0.0000 0.0000 1
Ga1 0.3333 0.6667 0.0000 1
Rh1 0.0000 0.5000 0.5000 1
```